# 1
Diffraction record for Cu4P2O9. The powder diffractogram is computed, not measured: it uses a PBE-relaxed structure and Cu Kα.

Largest 6 diffraction maxima, in order of rising 2θ, 2θ = 10–90°:
2theta	I/Imax
19.18	41
24.46	78
29.71	100
30.24	64
32.78	58
32.94	48

Atomic structure:
abc: 6.296 7.634 8.092
angles: 99.17 111.87 98.19
Fractional positions:
1 Cu 0.095 0.373 0.239
2 Cu 0.153 0.882 0.588
3 Cu 0.347 0.829 0.063
4 Cu 0.383 0.604 0.756
5 Cu 0.617 0.396 0.244
6 Cu 0.653 0.171 0.937
7 Cu 0.847 0.118 0.412
8 Cu 0.905 0.627 0.761
9 P 0.130 0.236 0.849
10 P 0.500 0.285 0.580
11 P 0.500 0.715 0.420
12 P 0.870 0.764 0.151
13 O 0.014 0.084 0.668
14 O 0.022 0.774 0.037
15 O 0.156 0.427 0.810
16 O 0.203 0.776 0.799
17 O 0.248 0.294 0.466
18 O 0.350 0.720 0.535
19 O 0.369 0.200 0.974
20 O 0.383 0.534 0.261
21 O 0.496 0.876 0.326
22 O 0.504 0.124 0.674
23 O 0.617 0.466 0.739
24 O 0.631 0.800 0.026
25 O 0.650 0.280 0.465
26 O 0.752 0.706 0.534
27 O 0.797 0.224 0.201
28 O 0.844 0.573 0.190
29 O 0.978 0.226 0.963
30 O 0.986 0.916 0.332

# 2
Diffraction record for Cu2P2O7. The powder diffractogram is computed, not measured: it uses a PBE-relaxed structure and Cu Kα.

Largest 6 diffraction maxima, in order of rising 2θ, 2θ = 10–90°:
2theta	I/Imax
27.30	100
29.89	77
30.32	38
35.43	22
46.43	20
59.68	20

Atomic structure:
abc: 5.438 5.438 4.665
angles: 103.61 103.61 98.25
Fractional positions:
1 Cu 0.188 0.812 0.000
2 Cu 0.812 0.188 0.000
3 P 0.305 0.305 0.590
4 P 0.695 0.695 0.410
5 O 0.123 0.123 0.279
6 O 0.148 0.457 0.769
7 O 0.457 0.148 0.769
8 O 0.500 0.500 0.500
9 O 0.543 0.852 0.231
10 O 0.852 0.543 0.231
11 O 0.877 0.877 0.721